For PaAlAgHg, a DFT-relaxed cell (PBE, Alexandria) gives the computed X-ray diffraction stick pattern in this record (a wavelength of 1.5418 Å).

Main lines, in order of rising 2θ (15° ≤ 2θ ≤ 90°):
| 2θ (°) | d/Å | I (rel.) |
| --- | --- | --- |
| 21.9 | 4.057 | 335 |
| 36.2 | 2.485 | 1000 |
| 42.7 | 2.119 | 190 |
| 52.1 | 1.757 | 177 |
| 57.1 | 1.612 | 83 |
| 65.0 | 1.435 | 364 |
| 69.5 | 1.352 | 63 |
| 76.7 | 1.242 | 114 |
| 80.9 | 1.188 | 64 |
| 87.9 | 1.111 | 169 |

Atomic structure:
a b c (Å): 7.0278 7.0278 7.0278
angles (deg): 90.00 90.00 90.00
Fractional positions:
Pa  0.0000  0.0000  0.0000
Pa  0.0000  0.5000  0.5000
Pa  0.5000  0.0000  0.5000
Pa  0.5000  0.5000  0.0000
Al  0.0000  0.0000  0.5000
Al  0.0000  0.5000  0.0000
Al  0.5000  0.0000  0.0000
Al  0.5000  0.5000  0.5000
Ag  0.2500  0.2500  0.7500
Ag  0.2500  0.7500  0.2500
Ag  0.7500  0.2500  0.2500
Ag  0.7500  0.7500  0.7500
Hg  0.2500  0.2500  0.2500
Hg  0.2500  0.7500  0.7500
Hg  0.7500  0.2500  0.7500
Hg  0.7500  0.7500  0.2500